Entry 1:
Calculated PXRD pattern of Er3TlHg for Cu Kα, from a DFT-relaxed cell (PBE, Alexandria).

Cell and atoms:
```
20
Lattice="5.674 -3.391 0.000 5.674 3.391 0.000 -4.209 0.000 15.006" Properties=species:S:1:pos:R:3 pbc="T T T"
Er -1.373 0.529 12.231
Er 0.430 0.698 9.177
Er 1.507 1.849 14.126
Er 3.528 1.849 8.382
Er 0.732 -0.529 4.729
Er 2.534 -0.698 1.674
Er 4.606 0.698 13.331
Er 6.408 0.529 10.277
Er 3.612 -1.849 6.623
Er 5.632 -1.849 0.879
Er 6.710 -0.698 5.829
Er 8.512 -0.529 2.774
Tl 3.643 1.056 5.243
Tl 5.601 1.056 2.259
Tl 1.539 -1.056 12.746
Tl 3.497 -1.056 9.762
Hg 2.837 1.695 0.000
Hg 2.518 1.647 11.254
Hg 0.733 -1.695 7.503
Hg 4.622 -1.647 3.751
```

Peak list (10 most intense, 2θ = 10–80°, by angle)
2θ/deg  intensity
26.4  36.2
31.0  29.5
31.7  48.2
32.5  51.7
32.8  62.2
33.6  39.3
35.6  100.0
35.8  59.8
41.6  25.2
42.5  26.1

***

Entry 2:
Calculated PXRD pattern of Ac4Sb2PO2 for Cu Kα, from a DFT-relaxed cell (PBE, Alexandria).

Cell and atoms:
```
9
Lattice="8.109 -2.127 0.000 8.109 2.127 0.000 -2.857 0.000 7.610" Properties=species:S:1:pos:R:3 pbc="T T T"
Ac -0.278 0.000 1.977
Ac 3.757 0.000 2.570
Ac 9.603 0.000 5.040
Ac 13.639 0.000 5.633
Sb 3.192 0.000 7.323
Sb 10.168 0.000 0.288
P 6.680 0.000 3.805
O 1.506 0.000 3.700
O 11.855 0.000 3.911
```

Peak list (10 most intense, 2θ = 10–80°, by angle)
2θ/deg  intensity
23.4  22.1
25.7  38.9
26.7  68.7
27.4  84.7
29.8  64.9
30.5  100.0
34.8  46.1
42.5  27.9
50.9  32.5
52.7  26.8

***

Entry 3:
Calculated PXRD pattern of Na2CdH4 for Cu Kα, from a DFT-relaxed cell (PBE, Alexandria).

Cell and atoms:
```
14
Lattice="3.000 -4.750 0.000 3.000 4.750 0.000 0.000 0.000 7.066" Properties=species:S:1:pos:R:3 pbc="T T T"
Na 0.000 0.000 0.000
Na 0.000 0.000 3.533
Na 3.000 1.670 5.300
Na 3.000 -1.670 1.767
Cd 3.000 1.433 1.767
Cd 3.000 -1.433 5.300
H 1.536 0.283 1.767
H 3.000 2.487 0.289
H 3.000 2.487 3.244
H 1.536 -0.283 5.300
H 4.463 0.283 1.767
H 3.000 -2.487 3.822
H 3.000 -2.487 6.777
H 4.463 -0.283 5.300
```

Peak list (10 most intense, 2θ = 10–80°, by angle)
2θ/deg  intensity
17.5  44.3
21.6  100.0
22.6  70.2
25.2  43.7
29.8  58.0
30.8  83.3
32.0  89.0
37.7  35.2
39.4  24.1
41.1  42.5

***

Entry 4:
Calculated PXRD pattern of CeSm3Er7 for Cu Kα, from a DFT-relaxed cell (PBE, Alexandria).

Cell and atoms:
```
11
Lattice="6.995 0.000 0.000 -3.498 6.058 0.000 0.000 0.000 8.619" Properties=species:S:1:pos:R:3 pbc="T T T"
Ce 0.000 0.000 0.000
Sm 0.000 2.001 5.730
Sm -1.765 5.057 5.730
Sm 1.765 5.057 5.730
Er -1.745 3.031 8.616
Er 1.729 0.998 2.798
Er 0.000 4.039 2.806
Er 1.745 3.031 8.616
Er 0.000 6.053 8.616
Er 5.266 0.998 2.798
Er 3.498 4.061 2.798
```

Peak list (10 most intense, 2θ = 10–80°, by angle)
2θ/deg  intensity
31.1  33.4
31.3  100.0
36.3  68.3
52.1  23.8
52.3  23.6
61.9  14.5
62.1  27.9
62.2  14.1
65.3  12.3
77.0  7.5

***

Entry 5:
Calculated PXRD pattern of Sm4ZnGa12 for Cu Kα, from a DFT-relaxed cell (PBE, Alexandria).

Cell and atoms:
```
17
Lattice="-4.397 4.397 4.397 4.397 -4.397 4.397 4.397 4.397 -4.397" Properties=species:S:1:pos:R:3 pbc="T T T"
Sm 2.199 2.199 -2.199
Sm 2.199 -2.199 2.199
Sm -2.199 2.199 2.199
Sm 2.199 2.199 2.199
Zn 0.000 0.000 0.000
Ga 2.668 0.000 0.000
Ga 6.126 0.000 0.000
Ga 4.397 2.199 0.000
Ga 4.397 0.000 2.199
Ga 0.000 2.668 0.000
Ga 0.000 0.000 2.668
Ga 2.199 4.397 0.000
Ga 2.199 0.000 4.397
Ga 0.000 6.126 0.000
Ga 0.000 0.000 6.126
Ga 0.000 4.397 2.199
Ga 0.000 2.199 4.397
```

Peak list (10 most intense, 2θ = 10–80°, by angle)
2θ/deg  intensity
28.7  29.0
35.4  100.0
38.3  9.0
41.1  59.3
46.2  8.2
48.6  8.6
59.5  33.1
67.3  10.1
71.1  28.4
74.8  9.2

***

Entry 6:
Calculated PXRD pattern of CaBiAs3 for Cu Kα, from a DFT-relaxed cell (PBE, Alexandria).

Cell and atoms:
```
5
Lattice="5.446 0.000 0.000 0.000 5.446 0.000 0.000 0.000 5.446" Properties=species:S:1:pos:R:3 pbc="T T T"
Ca 0.000 0.000 0.000
Bi 2.723 2.723 2.723
As 0.000 2.723 2.723
As 2.723 0.000 2.723
As 2.723 2.723 0.000
```

Peak list (10 most intense, 2θ = 10–80°, by angle)
2θ/deg  intensity
16.3  100.0
23.1  45.6
32.9  75.1
36.9  55.9
40.6  21.7
47.2  54.5
50.3  29.8
58.7  18.9
71.4  17.4
78.6  24.5

***

Entry 7:
Calculated PXRD pattern of N for Cu Kα, from a DFT-relaxed cell (PBE, Alexandria).

Cell and atoms:
```
16
Lattice="4.988 2.880 4.467 -4.988 2.880 4.467 0.000 -5.760 4.467" Properties=species:S:1:pos:R:3 pbc="T T T"
N 0.000 0.000 0.557
N -3.401 -1.016 5.920
N -0.820 -2.307 3.687
N -1.587 1.864 3.687
N -0.820 -3.453 7.479
N -2.581 2.437 7.479
N 0.000 0.000 6.143
N -2.408 -0.443 9.712
N 2.408 0.443 3.687
N 0.000 0.000 7.256
N 2.581 -2.437 5.920
N 0.820 3.453 5.920
N 1.587 -1.864 9.712
N 0.820 2.307 9.712
N 3.401 1.016 7.479
N 0.000 0.000 12.843
```

Peak list (10 most intense, 2θ = 10–80°, by angle)
2θ/deg  intensity
24.5  53.0
26.8  77.3
28.1  100.0
28.6  34.1
30.5  89.8
31.1  18.3
33.9  10.1
46.6  8.1
48.3  14.4
58.1  7.7

***

Entry 8:
Calculated PXRD pattern of La6Tc2Br3N for Cu Kα, from a DFT-relaxed cell (PBE, Alexandria).

Cell and atoms:
```
12
Lattice="3.517 -5.991 0.000 3.517 5.991 0.000 -2.280 0.000 7.894" Properties=species:S:1:pos:R:3 pbc="T T T"
La 0.104 1.884 5.386
La 0.815 0.000 2.341
La 0.104 -1.884 5.386
La 4.651 1.884 2.508
La 3.940 0.000 5.553
La 4.651 -1.884 2.508
Tc 2.377 1.557 3.947
Tc 2.377 -1.557 3.947
Br 3.517 3.841 0.000
Br 3.517 0.000 0.000
Br 3.517 -3.841 0.000
N -1.140 0.000 3.947
```

Peak list (10 most intense, 2θ = 10–80°, by angle)
2θ/deg  intensity
11.2  27.2
29.7  39.9
29.8  100.0
32.0  31.1
34.1  15.0
37.0  19.1
39.7  21.1
40.1  17.7
44.8  28.6
45.4  13.3